[1]
This entry pairs a crystal structure of TlAgTeMoS2 with its calculated XRD peak list. Radiation: Cu Kα (weighted mean of Kα1 and Kα2). Structure: DFT lattice parameters and positions (PBE).
Intensities are scaled so that the largest is 100.

The 10 most intense peaks (15° ≤ 2θ ≤ 90°), by angle:
2theta, intensity
16.9, 47
20.1, 22
32.1, 100
34.2, 40
35.4, 21
37.2, 37
40.4, 44
53.6, 13
53.9, 26
65.1, 14

Atomic structure:
```
TlAgTeMoS2
1.0
1.7098 -8.1591 0.0000
1.7098 8.1591 0.0000
0.0000 0.0000 10.5008
Tl Ag Te Mo S
2 2 2 2 4
Cartesian
1.7098 4.3657 7.8756
1.7098 -4.3657 2.6252
1.7098 1.0188 2.6252
1.7098 -1.0188 7.8756
1.7098 6.8552 2.6252
1.7098 -6.8552 7.8756
0.0000 0.0000 0.0000
0.0000 0.0000 5.2504
1.7098 1.7522 0.2987
1.7098 1.7522 4.9517
1.7098 -1.7522 5.5491
1.7098 -1.7522 10.2021
```

=====

[2]
This entry pairs a crystal structure of Cd3Bi with its calculated XRD peak list. Radiation: Cu Kα (weighted mean of Kα1 and Kα2). Structure: DFT lattice parameters and positions (PBE).
Intensities are scaled so that the largest is 100.

The 10 most intense peaks (15° ≤ 2θ ≤ 90°), by angle:
2theta, intensity
20.8, 14
27.9, 37
34.9, 100
36.5, 96
51.4, 33
61.6, 12
64.6, 32
65.6, 16
69.8, 11
87.9, 14

Atomic structure:
```
Cd3Bi
1.0
8.5356 0.0000 0.0000
-4.2678 7.3921 0.0000
0.0000 0.0000 9.6519
Cd Bi
18 6
Cartesian
0.0000 0.0000 0.0000
0.0000 0.0000 4.8259
-1.3780 2.3868 5.9987
-1.4501 2.5117 9.0333
-2.8177 4.8804 4.2074
-2.8898 5.0053 1.1728
2.7560 0.0000 5.9987
1.3780 2.3868 1.1728
0.0000 4.9280 0.4041
0.0000 4.9280 5.2300
2.9003 0.0000 9.0333
1.4501 2.5117 4.2074
5.6354 0.0000 4.2074
2.8177 4.8804 9.0333
4.2678 2.4640 0.4041
4.2678 2.4640 5.2300
5.7796 0.0000 1.1728
2.8898 5.0053 5.9987
-1.4334 2.4828 2.6882
-2.8344 4.9093 7.5141
2.8669 0.0000 2.6882
1.4334 2.4828 7.5141
5.6688 0.0000 7.5141
2.8344 4.9093 2.6882
```

=====

[3]
This entry pairs a crystal structure of ReSe with its calculated XRD peak list. Radiation: Cu Kα (weighted mean of Kα1 and Kα2). Structure: DFT lattice parameters and positions (PBE).
Intensities are scaled so that the largest is 100.

The 10 most intense peaks (15° ≤ 2θ ≤ 90°), by angle:
2theta, intensity
23.0, 14
33.5, 40
41.0, 100
47.0, 14
59.0, 16
59.9, 21
75.2, 17
79.4, 19
83.2, 13
89.0, 5

Atomic structure:
```
ReSe
1.0
3.0877 0.0000 0.0000
-1.5438 2.6740 0.0000
0.0000 0.0000 3.8655
Re Se
1 1
Cartesian
0.0000 0.0000 0.0000
1.5439 0.8913 1.9327
```

=====

[4]
This entry pairs a crystal structure of Pr2TmBi3 with its calculated XRD peak list. Radiation: Cu Kα (weighted mean of Kα1 and Kα2). Structure: DFT lattice parameters and positions (PBE).
Intensities are scaled so that the largest is 100.

The 10 most intense peaks (15° ≤ 2θ ≤ 90°), by angle:
2theta, intensity
24.0, 4
27.8, 100
39.7, 78
49.1, 28
57.3, 13
64.9, 36
71.9, 6
72.0, 21
85.4, 4
85.5, 5

Atomic structure:
```
Pr2TmBi3
1.0
4.5411 0.0000 0.0000
-2.2705 3.9327 0.0000
0.0000 0.0000 11.1464
Pr Tm Bi
2 1 3
Cartesian
0.0000 2.6218 3.6520
2.2705 1.3109 7.4944
0.0000 0.0000 0.0000
0.0000 0.0000 5.5732
0.0000 2.6218 9.4238
2.2705 1.3109 1.7226
```

=====

[5]
This entry pairs a crystal structure of ReTe3SeS with its calculated XRD peak list. Radiation: Cu Kα (weighted mean of Kα1 and Kα2). Structure: DFT lattice parameters and positions (PBE).
Intensities are scaled so that the largest is 100.

The 10 most intense peaks (15° ≤ 2θ ≤ 90°), by angle:
2theta, intensity
25.2, 31
28.1, 40
30.3, 100
32.3, 85
33.9, 77
39.7, 21
44.2, 29
44.8, 33
45.5, 51
46.6, 29

Atomic structure:
```
ReTe3SeS
1.0
7.1113 0.0000 0.0000
2.2659 6.9346 0.0000
2.1294 3.1204 7.0743
Re Te Se S
2 6 2 2
Cartesian
1.7355 3.6133 3.5105
9.7711 6.4417 3.5638
0.6125 1.7546 0.1246
4.8791 7.9770 4.1599
4.0755 4.4124 4.4936
7.4311 5.6426 2.5807
6.6275 2.0780 2.9144
10.8941 8.3005 6.9497
3.7507 6.2881 1.2693
7.7559 3.7669 5.8050
2.6015 3.1513 1.3874
8.9052 6.9037 5.6868
```

=====

[6]
This entry pairs a crystal structure of TaCuOs2 with its calculated XRD peak list. Radiation: Cu Kα (weighted mean of Kα1 and Kα2). Structure: DFT lattice parameters and positions (PBE).
Intensities are scaled so that the largest is 100.

The 10 most intense peaks (15° ≤ 2θ ≤ 90°), by angle:
2theta, intensity
24.9, 9
28.8, 4
41.2, 100
48.7, 5
59.6, 17
65.6, 2
67.6, 2
75.0, 34
80.5, 2
89.4, 11

Atomic structure:
```
TaCuOs2
1.0
6.2016 0.0000 0.0000
0.0000 6.2016 0.0000
0.0000 0.0000 6.2016
Ta Cu Os
4 4 8
Cartesian
0.0000 0.0000 0.0000
0.0000 3.1008 3.1008
3.1008 0.0000 3.1008
3.1008 3.1008 0.0000
1.5504 1.5504 1.5504
1.5504 4.6512 4.6512
4.6512 1.5504 4.6512
4.6512 4.6512 1.5504
0.0000 0.0000 3.1008
0.0000 3.1008 0.0000
1.5504 1.5504 4.6512
1.5504 4.6512 1.5504
3.1008 0.0000 0.0000
3.1008 3.1008 3.1008
4.6512 1.5504 1.5504
4.6512 4.6512 4.6512
```

=====

[7]
This entry pairs a crystal structure of Sr2Fe2AgN3 with its calculated XRD peak list. Radiation: Cu Kα (weighted mean of Kα1 and Kα2). Structure: DFT lattice parameters and positions (PBE).
Intensities are scaled so that the largest is 100.

The 10 most intense peaks (15° ≤ 2θ ≤ 90°), by angle:
2theta, intensity
20.5, 25
30.6, 100
31.1, 93
31.3, 60
34.1, 73
34.7, 84
38.3, 47
43.8, 84
49.7, 29
60.0, 36

Atomic structure:
```
Sr2Fe2AgN3
1.0
3.3267 -5.6024 0.0000
3.3267 5.6024 0.0000
-0.0039 0.0000 6.6519
Sr Fe Ag N
4 4 2 6
Cartesian
1.6576 0.7886 0.6598
1.6557 -0.7886 3.9857
4.9938 0.7886 2.6662
4.9918 -0.7886 5.9921
2.4593 3.3300 2.6391
4.1921 3.3300 0.6868
2.4573 -3.3300 5.9651
4.1901 -3.3300 4.0127
3.3237 2.1176 4.9889
3.3257 -2.1176 1.6630
3.3257 4.6189 1.6630
2.3041 1.5368 3.0880
2.3022 -1.5368 6.4140
4.3473 1.5368 0.2379
4.3453 -1.5368 3.5638
3.3237 -4.6189 4.9889
```

=====

[8]
This entry pairs a crystal structure of Ta4PbO9 with its calculated XRD peak list. Radiation: Cu Kα (weighted mean of Kα1 and Kα2). Structure: DFT lattice parameters and positions (PBE).
Intensities are scaled so that the largest is 100.

The 10 most intense peaks (15° ≤ 2θ ≤ 90°), by angle:
2theta, intensity
20.5, 25
26.1, 38
28.4, 88
29.4, 100
29.6, 22
29.9, 38
30.1, 25
39.8, 22
43.4, 21
50.4, 26

Atomic structure:
```
Ta4PbO9
1.0
3.6984 -6.0307 0.0000
3.6984 6.0307 0.0000
-1.8091 0.0000 4.5178
Ta Pb O
4 1 9
Cartesian
0.0000 0.0000 0.0000
2.0156 3.7821 0.8491
3.5721 3.7821 3.6687
2.7939 -3.5728 2.2589
2.7939 0.1065 2.2589
0.1422 2.5369 3.9537
0.3074 1.0455 1.5945
2.7939 2.6881 2.2589
0.1055 -0.4725 4.5109
1.6316 -2.0470 2.9181
5.4455 2.5369 0.5641
5.4822 -0.4725 0.0069
5.2804 1.0455 2.9233
3.9561 -2.0470 1.5997
```